Record 1
The following is a calculated XRD peak list of HoTmP2Rh5. It was derived from DFT lattice parameters and positions (GGA-PBE), using a wavelength of 1.5418 Å.
Peak positions follow from Bragg's law for the DFT cell and can differ from measured ones.

Crystal structure
a = 4.000 Å, b = 4.000 Å, c = 10.763 Å
α = 90.00°, β = 90.00°, γ = 90.00°
Space group P4/mmm (No. 123)
One atom of each set of equivalent atoms:
Ho (0.000, 0.000, 0.000) x1
Tm (0.000, 0.000, 0.500) x1
P (0.500, 0.500, 0.210) x2
Rh (0.000, 0.500, 0.307) x4
Rh (0.500, 0.500, 0.000) x1

Largest 10 diffraction maxima, low angle first, 5° ≤ 2θ ≤ 70°:
2theta, intensity, h k l
24.82, 25, 0 0 3
27.79, 31, 1 0 2
32.73, 18, 1 1 1
33.30, 17, 0 0 4
35.86, 100, 1 1 2
45.34, 44, 2 0 0
46.58, 16, 1 1 4
53.49, 20, 1 1 5
57.40, 14, 2 0 4
66.06, 14, 2 2 0



Record 2
The following is a calculated XRD peak list of Ho3ZnP2Rh9. It was derived from DFT lattice parameters and positions (GGA-PBE), using a wavelength of 1.5418 Å.
Peak positions follow from Bragg's law for the DFT cell and can differ from measured ones.

Crystal structure
a = 6.1702 Å, b = 6.1702 Å, c = 8.1245 Å
α = 90.00°, β = 90.00°, γ = 120.00°
Space group P-3m1 (No. 164)
One atom of each set of equivalent atoms:
Ho (0.0000, 0.0000, 0.0000) x1
Ho (0.3333, 0.6667, 0.6526) x2
Zn (0.0000, 0.0000, 0.5000) x1
P (0.3333, 0.6667, 0.1644) x2
Rh (0.0000, 0.5000, 0.0000) x3
Rh (0.1629, 0.3258, 0.3049) x6

Largest 10 diffraction maxima, low angle first, 5° ≤ 2θ ≤ 70°:
2theta, intensity, h k l
27.58, 12, 0 1 2
28.94, 9, 1 1 0
33.08, 34, 0 0 3
35.37, 100, 0 2 1
40.41, 97, 2 0 2
47.88, 7, 1 0 4
50.46, 5, 1 2 2
56.94, 31, 0 2 4
59.97, 31, 2 2 0
67.46, 11, 2 0 5



Record 3
The following is a calculated XRD peak list of HoZnP2Rh5. It was derived from DFT lattice parameters and positions (GGA-PBE), using a wavelength of 1.5418 Å.
Peak positions follow from Bragg's law for the DFT cell and can differ from measured ones.

Crystal structure
a = 4.051 Å, b = 4.051 Å, c = 9.582 Å
α = 90.00°, β = 90.00°, γ = 90.00°
Space group P4/mmm (No. 123)
One atom of each set of equivalent atoms:
Ho (0.000, 0.000, 0.000) x1
Zn (0.000, 0.000, 0.500) x1
P (0.500, 0.500, 0.234) x2
Rh (0.000, 0.500, 0.338) x4
Rh (0.500, 0.500, 0.000) x1

Largest 10 diffraction maxima, low angle first, 5° ≤ 2θ ≤ 70°:
2theta, intensity, h k l
27.93, 75, 0 0 3
28.86, 27, 1 0 2
32.63, 100, 1 1 1
36.55, 90, 1 1 2
42.39, 15, 1 1 3
44.74, 77, 2 0 0
49.61, 70, 1 1 4
53.58, 48, 2 0 3
57.89, 15, 1 1 5
65.13, 25, 2 2 0



Record 4
The following is a calculated XRD peak list of Ho7PS5. It was derived from DFT lattice parameters and positions (GGA-PBE), using a wavelength of 1.5418 Å.
Peak positions follow from Bragg's law for the DFT cell and can differ from measured ones.

Crystal structure
a = 12.719 Å, b = 3.828 Å, c = 23.231 Å
α = 90.00°, β = 91.98°, γ = 90.00°
Space group Cm (No. 8)
One atom of each set of equivalent atoms:
Ho (0.000, 0.000, 0.000) x2
Ho (0.008, 0.000, 0.575) x2
Ho (0.044, 0.500, 0.422) x2
Ho (0.065, 0.500, 0.144) x2
Ho (0.105, 0.000, 0.285) x2
Ho (0.179, 0.000, 0.790) x2
Ho (0.220, 0.500, 0.930) x2
Ho (0.240, 0.500, 0.653) x2
Ho (0.276, 0.000, 0.500) x2
Ho (0.285, 0.000, 0.075) x2
Ho (0.327, 0.500, 0.360) x2
Ho (0.346, 0.500, 0.218) x2
Ho (0.439, 0.000, 0.856) x2
Ho (0.457, 0.000, 0.715) x2
P (0.335, 0.500, 0.769) x2
P (0.449, 0.000, 0.305) x2
S (0.080, 0.000, 0.893) x2
S (0.099, 0.000, 0.681) x2
S (0.142, 0.500, 0.537) x2
S (0.143, 0.500, 0.037) x2
S (0.185, 0.000, 0.393) x2
S (0.205, 0.000, 0.181) x2
S (0.362, 0.000, 0.965) x2
S (0.369, 0.000, 0.608) x2
S (0.415, 0.500, 0.466) x2
S (0.423, 0.500, 0.110) x2

Largest 10 diffraction maxima, low angle first, 5° ≤ 2θ ≤ 70°:
2theta, intensity, h k l
28.48, 47, 4 0 1
28.67, 69, 1 1 -4
28.92, 72, 1 1 4
29.96, 93, 2 0 -7
30.84, 100, 2 0 7
32.27, 74, 3 1 -2
32.63, 90, 3 1 2
33.35, 68, 3 1 -3
46.07, 58, 1 1 -10
47.50, 61, 0 2 0



Record 5
The following is a calculated XRD peak list of Ho3PS. It was derived from DFT lattice parameters and positions (GGA-PBE), using a wavelength of 1.5418 Å.
Peak positions follow from Bragg's law for the DFT cell and can differ from measured ones.

Crystal structure
a = 6.4345 Å, b = 6.4345 Å, c = 3.5571 Å
α = 90.00°, β = 90.00°, γ = 120.00°
Space group P-6 (No. 174)
One atom of each set of equivalent atoms:
Ho (0.9999, 0.6693, 0.0000) x3
P (0.0000, 0.0000, 0.5000) x1
S (0.6667, 0.3333, 0.5000) x1

Largest 10 diffraction maxima, low angle first, 5° ≤ 2θ ≤ 70°:
2theta, intensity, h k l
15.90, 2, 1 0 0
25.03, 31, 0 0 1
27.73, 87, 1 1 0
37.70, 100, 1 1 1
49.04, 26, 3 0 0
51.37, 8, 0 0 2
55.84, 22, 3 0 1
57.27, 12, 2 2 0
59.38, 21, 1 1 2
63.47, 22, 2 2 1



Record 6
The following is a calculated XRD peak list of Ho6PSe3S2. It was derived from DFT lattice parameters and positions (GGA-PBE), using a wavelength of 1.5418 Å.
Peak positions follow from Bragg's law for the DFT cell and can differ from measured ones.

Crystal structure
a = 6.864 Å, b = 11.886 Å, c = 7.005 Å
α = 90.00°, β = 109.03°, γ = 90.00°
Space group C2/m (No. 12)
One atom of each set of equivalent atoms:
Ho (0.239, 0.164, 0.225) x8
Ho (0.246, 0.500, 0.225) x4
P (0.000, 0.000, 0.000) x2
Se (0.000, 0.167, 0.500) x4
Se (0.000, 0.500, 0.500) x2
S (0.000, 0.333, 0.000) x4

Largest 10 diffraction maxima, low angle first, 5° ≤ 2θ ≤ 70°:
2theta, intensity, h k l
26.93, 10, 0 0 2
27.50, 34, 2 0 0
31.69, 100, 1 3 1
34.54, 8, 1 3 -2
45.06, 34, 2 0 2
45.80, 37, 0 6 0
53.93, 10, 3 3 1
56.76, 19, 4 0 0
63.05, 6, 3 3 -4
66.20, 11, 2 6 2